Tb3Pm4Mg: theoretical powder XRD pattern (Cu Kα, 1.54184 Å), based on a crystal structure in Alexandria, relaxed with GGA-PBE.
Lines closer than 0.1° are merged.

Largest 12 diffraction maxima, by intensity, 2θ from 5° to 70°:
hkl 2 2 0, d = 2.909 Å, 2θ 30.73, I = 100; hkl 0 2 2, d = 2.510 Å, 2θ 35.78, I = 33; hkl 2 4 2, d = 1.515 Å, 2θ 61.18, I = 28; hkl 4 2 2, d = 1.785 Å, 2θ 51.17, I = 24; hkl 4 0 0, d = 2.540 Å, 2θ 35.33, I = 17; hkl 6 2 0, d = 1.528 Å, 2θ 60.58, I = 14; hkl 4 4 0, d = 1.455 Å, 2θ 64.00, I = 12; hkl 0 0 4, d = 1.776 Å, 2θ 51.45, I = 6; hkl 0 4 0, d = 1.773 Å, 2θ 51.55, I = 6; hkl 1 1 1, d = 4.500 Å, 2θ 19.73, I = 4; hkl 0 1 0, d = 7.092 Å, 2θ 12.48, I = 3; hkl 1 0 1, d = 5.823 Å, 2θ 15.22, I = 3

Atomic structure:
```
data_Tb3Pm4Mg
_chemical_formula_sum 'Tb6 Pm8 Mg2'
_symmetry_space_group_name_H-M 'P m n 21'
_symmetry_Int_Tables_number 31
_symmetry_space_group_name_Hall 'P 2ac -2'
_cell_length_a 10.1608
_cell_length_b 7.0918
_cell_length_c 7.1048
_cell_angle_alpha 90.00
_cell_angle_beta 90.00
_cell_angle_gamma 90.00
loop_
_atom_site_label
_atom_site_type_symbol
_atom_site_fract_x
_atom_site_fract_y
_atom_site_fract_z
Tb1 Tb 0.0000 0.0007 0.0000
Tb2 Tb 0.2504 0.2494 0.2502
Pm1 Pm 0.0000 0.0005 0.5003
Pm2 Pm 0.0000 0.4996 0.5004
Pm3 Pm 0.2493 0.7505 0.2501
Mg1 Mg 0.0000 0.4999 0.0002
```